[1]
This entry pairs a crystal structure of GeTe2Pd2F2 with its calculated powder diffractogram. Radiation: CuKα. Structure: a PBE-relaxed structure.
No peak broadening, texture or thermal motion is included.

Peak list (12 most intense, 5 to 70 degrees two-theta, by angle)
| two_theta | I_rel |
| --- | --- |
| 20.55 | 38.0 |
| 25.57 | 10.5 |
| 31.31 | 48.3 |
| 33.28 | 40.4 |
| 39.22 | 14.4 |
| 39.44 | 100.0 |
| 47.78 | 39.5 |
| 48.44 | 29.0 |
| 52.53 | 12.7 |
| 58.24 | 16.0 |
| 58.66 | 13.0 |
| 69.85 | 19.2 |

```
data_GeTe2Pd2F2
_symmetry_space_group_name_H-M 'P 1'
_symmetry_Int_Tables_number 1
_symmetry_space_group_name_Hall 'P 1'
_cell_length_a 3.807
_cell_length_b 3.807
_cell_length_c 8.642
_cell_angle_alpha 90.00
_cell_angle_beta 90.00
_cell_angle_gamma 90.00
loop_
_atom_site_label
_atom_site_fract_x
_atom_site_fract_y
_atom_site_fract_z
Ge1 0.000 0.000 0.000
Te1 0.000 0.500 0.773
Te2 0.500 0.000 0.227
Pd1 0.000 0.500 0.319
Pd2 0.500 0.000 0.681
F1 0.000 0.000 0.500
F2 0.500 0.500 0.500
```



[2]
This entry pairs a crystal structure of Dy2Ge3Pt9 with its calculated powder diffractogram. Radiation: CuKα. Structure: a PBE-relaxed structure.
No peak broadening, texture or thermal motion is included.

Peak list (12 most intense, 5 to 70 degrees two-theta, by angle)
| two_theta | I_rel |
| --- | --- |
| 35.08 | 16.8 |
| 35.18 | 15.3 |
| 35.74 | 17.7 |
| 37.48 | 26.3 |
| 37.63 | 78.3 |
| 37.67 | 78.2 |
| 37.82 | 77.3 |
| 38.79 | 22.1 |
| 39.80 | 100.0 |
| 39.97 | 57.8 |
| 46.40 | 27.9 |
| 61.69 | 16.6 |

```
data_Dy2Ge3Pt9
_symmetry_space_group_name_H-M 'P 1'
_symmetry_Int_Tables_number 1
_symmetry_space_group_name_Hall 'P 1'
_cell_length_a 7.825
_cell_length_b 7.825
_cell_length_c 10.110
_cell_angle_alpha 112.97
_cell_angle_beta 112.97
_cell_angle_gamma 60.27
loop_
_atom_site_label
_atom_site_fract_x
_atom_site_fract_y
_atom_site_fract_z
Dy1 0.084 0.255 0.251
Dy2 0.255 0.084 0.751
Dy3 0.745 0.916 0.249
Dy4 0.916 0.745 0.749
Ge1 0.000 0.500 0.000
Ge2 0.139 0.682 0.503
Ge3 0.318 0.861 0.997
Ge4 0.500 0.000 0.500
Ge5 0.682 0.139 0.003
Ge6 0.861 0.318 0.497
Pt1 0.022 0.860 0.078
Pt2 0.140 0.978 0.422
Pt3 0.195 0.360 0.580
Pt4 0.204 0.585 0.258
Pt5 0.297 0.477 0.923
Pt6 0.360 0.195 0.080
Pt7 0.366 0.634 0.750
Pt8 0.415 0.796 0.242
Pt9 0.477 0.297 0.423
Pt10 0.523 0.703 0.577
Pt11 0.585 0.204 0.758
Pt12 0.634 0.366 0.250
Pt13 0.640 0.805 0.920
Pt14 0.703 0.523 0.077
Pt15 0.796 0.415 0.742
Pt16 0.805 0.640 0.420
Pt17 0.860 0.022 0.578
Pt18 0.978 0.140 0.922
```